(1)
For Rb2Ge2S5, a crystal structure in the Materials Project, relaxed with PBE gives the theoretical X-ray diffraction stick pattern in this record (Cu Ka).
Neutral-atom scattering factors, no anomalous dispersion.

The 12 most intense peaks (2θ = 10–90°), by angle:
Position (°2θ)  intensity
11.53  40
19.90  60
21.03  41
22.69  45
23.27  55
23.46  45
24.45  100
27.79  44
28.27  36
29.83  53
30.32  50
48.76  52

Structural model:
abc: 11.2074 11.2074 9.3053
angles: 100.41 100.41 90.23
Fractional coordinates of all 36 atoms:
Rb 0.0596 0.2086 0.1274
Rb 0.2086 0.0596 0.6274
Rb 0.2106 0.4748 0.6259
Rb 0.4748 0.2106 0.1259
Rb 0.5252 0.7894 0.8741
Rb 0.7894 0.5252 0.3741
Rb 0.7914 0.9404 0.3726
Rb 0.9404 0.7914 0.8726
Ge 0.1378 0.7298 0.3850
Ge 0.2672 0.5272 0.1009
Ge 0.2702 0.8622 0.1150
Ge 0.4728 0.7328 0.3991
Ge 0.5272 0.2672 0.6009
Ge 0.7298 0.1378 0.8850
Ge 0.7328 0.4728 0.8991
Ge 0.8622 0.2702 0.6150
S 0.0038 0.7529 0.5243
S 0.1175 0.5441 0.2398
S 0.1189 0.8811 0.2500
S 0.2436 0.3546 0.9549
S 0.2448 0.6770 0.9624
S 0.2471 0.9962 0.9757
S 0.3230 0.7552 0.5376
S 0.3546 0.2436 0.4549
S 0.4527 0.5473 0.2500
S 0.4559 0.8825 0.2602
S 0.5441 0.1175 0.7398
S 0.5473 0.4527 0.7500
S 0.6454 0.7564 0.5451
S 0.6770 0.2448 0.4624
S 0.7529 0.0038 0.0243
S 0.7552 0.3230 0.0376
S 0.7564 0.6454 0.0451
S 0.8811 0.1189 0.7500
S 0.8825 0.4559 0.7602
S 0.9962 0.2471 0.4757


(2)
For RbTaGeS5, a crystal structure in the Materials Project, relaxed with PBE gives the theoretical X-ray diffraction stick pattern in this record (Cu Ka).
Neutral-atom scattering factors, no anomalous dispersion.

The 12 most intense peaks (2θ = 10–90°), by angle:
Position (°2θ)  intensity
10.36  51
13.34  34
14.05  100
19.38  37
20.84  25
21.74  32
25.52  44
27.12  36
27.25  34
31.44  54
31.90  34
41.61  45

Structural model:
abc: 7.0275 7.2219 9.1945
angles: 69.38 78.37 75.83
Fractional coordinates of all 16 atoms:
Rb 0.0928 0.3591 0.3103
Rb 0.9072 0.6409 0.6897
Ta 0.2595 0.9722 0.9957
Ta 0.7405 0.0278 0.0043
Ge 0.4778 0.7059 0.3764
Ge 0.5222 0.2941 0.6236
S 0.0588 0.7724 0.9700
S 0.1902 0.8703 0.2929
S 0.2816 0.1193 0.7047
S 0.4313 0.6098 0.6439
S 0.4332 0.2460 0.9910
S 0.5668 0.7540 0.0090
S 0.5687 0.3902 0.3561
S 0.7184 0.8807 0.2953
S 0.8098 0.1297 0.7071
S 0.9412 0.2276 0.0300


(3)
For Rb2GeSe3, a crystal structure in the Materials Project, relaxed with PBE gives the theoretical X-ray diffraction stick pattern in this record (Cu Ka).
Neutral-atom scattering factors, no anomalous dispersion.

The 12 most intense peaks (2θ = 10–90°), by angle:
Position (°2θ)  intensity
14.98  32
24.52  76
25.80  100
25.94  78
28.94  33
32.35  39
32.45  36
33.75  30
39.47  28
41.01  43
48.34  25
57.38  39

Structural model:
abc: 8.0397 8.0397 10.3697
angles: 120.82 120.82 53.69
Fractional coordinates of all 12 atoms:
Rb 0.0891 0.0891 0.3758
Rb 0.3130 0.3130 0.1789
Rb 0.6870 0.6870 0.8211
Rb 0.9109 0.9109 0.6242
Ge 0.3810 0.3810 0.8177
Ge 0.6190 0.6190 0.1823
Se 0.2028 0.2028 0.7765
Se 0.2499 0.7501 0.0000
Se 0.3873 0.3873 0.5980
Se 0.6127 0.6127 0.4020
Se 0.7501 0.2499 0.0000
Se 0.7972 0.7972 0.2235


(4)
For RbSmGeSe4, a crystal structure in the Materials Project, relaxed with PBE gives the theoretical X-ray diffraction stick pattern in this record (Cu Ka).
Neutral-atom scattering factors, no anomalous dispersion.

The 12 most intense peaks (2θ = 10–90°), by angle:
Position (°2θ)  intensity
15.83  45
25.01  47
27.83  100
28.68  59
29.33  38
30.59  73
31.96  93
32.56  40
34.81  33
37.76  69
41.83  40
42.00  39

Structural model:
abc: 6.8557 7.1217 18.1253
angles: 90.00 90.00 90.00
Fractional coordinates of all 28 atoms:
Rb 0.0000 0.0000 0.0000
Rb 0.0102 0.4964 0.4359
Rb 0.5003 0.4951 0.9344
Rb 0.5212 0.9913 0.4984
Sm 0.2171 0.5218 0.6918
Sm 0.2956 0.4699 0.1934
Sm 0.7058 0.9803 0.2424
Sm 0.7933 0.0153 0.7434
Ge 0.2203 0.0122 0.3050
Ge 0.2907 0.9788 0.8018
Ge 0.7109 0.4777 0.6313
Ge 0.8004 0.5103 0.1320
Se 0.0544 0.7379 0.8236
Se 0.0700 0.5043 0.0515
Se 0.0938 0.2637 0.8183
Se 0.1108 0.0804 0.1813
Se 0.4019 0.7365 0.3192
Se 0.4115 0.9125 0.6825
Se 0.4441 0.4909 0.5519
Se 0.4558 0.2529 0.3236
Se 0.5569 0.7595 0.1092
Se 0.5638 0.9812 0.8801
Se 0.5978 0.2312 0.1183
Se 0.6025 0.4093 0.7541
Se 0.9056 0.5787 0.2549
Se 0.9135 0.7640 0.6150
Se 0.9433 0.0040 0.3816
Se 0.9468 0.2385 0.6111


(5)
For RbSmGeSe4, a crystal structure in the Materials Project, relaxed with PBE gives the theoretical X-ray diffraction stick pattern in this record (Cu Ka).
Neutral-atom scattering factors, no anomalous dispersion.

The 12 most intense peaks (2θ = 10–90°), by angle:
Position (°2θ)  intensity
15.83  47
25.01  47
27.83  100
28.68  57
29.33  38
30.59  72
31.96  96
32.56  43
34.81  34
37.76  68
41.83  38
42.00  39

Structural model:
abc: 6.8557 7.1217 18.1253
angles: 90.00 90.00 90.00
Fractional coordinates of all 28 atoms:
Rb 0.0099 0.0049 0.4685
Rb 0.4901 0.9951 0.9685
Rb 0.5099 0.4951 0.5315
Rb 0.9901 0.5049 0.0315
Sm 0.2073 0.0208 0.7258
Sm 0.2927 0.9792 0.2258
Sm 0.7073 0.4792 0.2742
Sm 0.7927 0.5208 0.7742
Ge 0.2102 0.5138 0.3363
Ge 0.2898 0.4862 0.8363
Ge 0.7102 0.9862 0.6637
Ge 0.7898 0.0138 0.1637
Se 0.0544 0.2448 0.8580
Se 0.0629 0.0131 0.0848
Se 0.0958 0.7625 0.8509
Se 0.0996 0.5831 0.2148
Se 0.4004 0.4169 0.7148
Se 0.4042 0.2375 0.3509
Se 0.4371 0.9869 0.5848
Se 0.4456 0.7552 0.3580
Se 0.5544 0.2552 0.1420
Se 0.5629 0.4869 0.9152
Se 0.5958 0.7375 0.1491
Se 0.5996 0.9169 0.7852
Se 0.9004 0.0831 0.2852
Se 0.9042 0.2625 0.6491
Se 0.9371 0.5131 0.4152
Se 0.9456 0.7448 0.6420


(6)
For Re4Ge7, a crystal structure in the Materials Project, relaxed with PBE gives the theoretical X-ray diffraction stick pattern in this record (Cu Ka).
Neutral-atom scattering factors, no anomalous dispersion.

The 12 most intense peaks (2θ = 10–90°), by angle:
Position (°2θ)  intensity
23.72  49
29.66  23
36.19  20
38.33  100
39.09  19
42.45  35
43.31  57
49.20  43
62.25  19
66.96  13
69.83  16
78.26  17

Structural model:
abc: 6.0233 6.0233 19.1812
angles: 90.00 90.00 90.00
Fractional coordinates of all 44 atoms:
Re 0.0000 0.0000 0.0000
Re 0.0000 0.0000 0.2500
Re 0.0000 0.0000 0.5000
Re 0.0000 0.0000 0.7500
Re 0.0000 0.5000 0.0644
Re 0.0000 0.5000 0.3074
Re 0.0000 0.5000 0.5644
Re 0.0000 0.5000 0.8074
Re 0.5000 0.0000 0.1926
Re 0.5000 0.0000 0.4356
Re 0.5000 0.0000 0.6926
Re 0.5000 0.0000 0.9356
Re 0.5000 0.5000 0.1300
Re 0.5000 0.5000 0.3700
Re 0.5000 0.5000 0.6300
Re 0.5000 0.5000 0.8700
Ge 0.1515 0.2000 0.3877
Ge 0.1515 0.8000 0.8877
Ge 0.1554 0.3220 0.6823
Ge 0.1554 0.6780 0.1823
Ge 0.2000 0.1515 0.1123
Ge 0.2000 0.8485 0.6123
Ge 0.2317 0.3490 0.9616
Ge 0.2317 0.6510 0.4616
Ge 0.3220 0.1554 0.8177
Ge 0.3220 0.8446 0.3177
Ge 0.3359 0.3359 0.2500
Ge 0.3359 0.6641 0.7500
Ge 0.3490 0.2317 0.5384
Ge 0.3490 0.7683 0.0384
Ge 0.6510 0.2317 0.0384
Ge 0.6510 0.7683 0.5384
Ge 0.6641 0.3359 0.7500
Ge 0.6641 0.6641 0.2500
Ge 0.6780 0.1554 0.3177
Ge 0.6780 0.8446 0.8177
Ge 0.7683 0.3490 0.4616
Ge 0.7683 0.6510 0.9616
Ge 0.8000 0.1515 0.6123
Ge 0.8000 0.8485 0.1123
Ge 0.8446 0.3220 0.1823
Ge 0.8446 0.6780 0.6823
Ge 0.8485 0.2000 0.8877
Ge 0.8485 0.8000 0.3877


(7)
For Re3Ge, a crystal structure in the Materials Project, relaxed with PBE gives the theoretical X-ray diffraction stick pattern in this record (Cu Ka).
Neutral-atom scattering factors, no anomalous dispersion.

The 12 most intense peaks (2θ = 10–90°), by angle:
Position (°2θ)  intensity
21.45  4
25.77  9
39.96  100
40.35  3
43.70  19
47.82  30
55.11  2
66.77  22
69.94  10
77.73  15
83.72  24
86.22  11

Structural model:
abc: 3.8043 3.8043 8.2858
angles: 90.00 90.00 90.00
Fractional coordinates of all 8 atoms:
Re 0.0000 0.0000 0.0000
Re 0.0000 0.5000 0.2500
Re 0.0000 0.5000 0.7500
Re 0.5000 0.0000 0.2500
Re 0.5000 0.0000 0.7500
Re 0.5000 0.5000 0.5000
Ge 0.0000 0.0000 0.5000
Ge 0.5000 0.5000 0.0000